Starting from DFT lattice parameters and positions (GGA+U), the X-ray diffraction stick pattern of MnCoB2O5 was simulated for a wavelength of 1.5418 Å.
Peak positions follow from Bragg's law for the DFT cell and can differ from measured ones.

Atomic structure:
```
data_MnCoB2O5
_cell_length_a 3.2665
_cell_length_b 6.2726
_cell_length_c 9.4646
_cell_angle_alpha 104.60
_cell_angle_beta 90.44
_cell_angle_gamma 91.53
_space_group_name_H-M_alt 'P -1'
_space_group_IT_number 2
loop_
_space_group_symop_operation_xyz
'x,y,z'
'-x,-y,-z'
loop_
_atom_site_label
_atom_site_fract_x
_atom_site_fract_y
_atom_site_fract_z
Mn1 0.2465 0.2175 0.3618
Co1 0.2668 0.6284 0.9023
B1 0.1723 0.1187 0.8334
B2 0.1821 0.6803 0.3462
O1 0.0434 0.8593 0.2944
O2 0.2249 0.4779 0.2490
O3 0.2432 0.3019 0.9469
O4 0.2561 0.7179 0.4916
O5 0.2849 0.9076 0.8215
```

Principal peaks in the range 2θ from 10° to 80°, by intensity:
| index | 2θ/deg | d [Å] | intensity |
| --- | --- | --- | --- |
| 1 0 -2 | 33.5 | 2.677 | 100 |
| 0 1 1 | 19.5 | 4.557 | 89 |
| 1 0 2 | 34.0 | 2.640 | 57 |
| 0 2 -2 | 31.0 | 2.887 | 43 |
| 0 3 -2 | 44.2 | 2.051 | 40 |
| -1 1 3 | 45.3 | 2.002 | 29 |
| 1 1 3 | 46.4 | 1.955 | 25 |
| 0 1 -3 | 29.2 | 3.054 | 23 |
| 0 2 -3 | 36.1 | 2.488 | 22 |
| 0 2 0 | 29.4 | 3.034 | 22 |